The following is a simulated X-ray powder pattern of Na10B17C3. It was derived from the GGA-PBE geometry in Alexandria, using Cu Kα X-rays.

Structural model:
Cell: 8.673 14.268 5.305 Å, 90.00 90.00 90.00°
Space group Amm2 (No. 38)
Inequivalent atoms, fractional coordinates:
Na  0.249  0.000  0.000 [4 per cell]
Na  0.250  0.200  0.995 [8 per cell]
Na  0.251  0.100  0.492 [8 per cell]
B  0.000  0.000  0.626 [2 per cell]
B  0.000  0.095  0.170 [4 per cell]
B  0.000  0.095  0.845 [4 per cell]
B  0.000  0.195  0.653 [4 per cell]
B  0.000  0.202  0.333 [4 per cell]
B  0.500  0.000  0.315 [2 per cell]
B  0.500  0.000  0.644 [2 per cell]
B  0.500  0.095  0.864 [4 per cell]
B  0.500  0.195  0.649 [4 per cell]
B  0.500  0.196  0.323 [4 per cell]
C  0.000  0.000  0.332 [2 per cell]
C  0.500  0.098  0.157 [4 per cell]

Most intense lines, 5° ≤ 2θ ≤ 70°, low angle first:
2θ 20.48, I 2, (2 0 0)
2θ 33.79, I 13, (0 0 2)
2θ 35.73, I 17, (0 5 1)
2θ 39.84, I 49, (2 0 2)
2θ 41.53, I 100, (2 5 1)
2θ 41.65, I 37, (4 0 0)
2θ 54.67, I 7, (4 0 2)
2θ 56.01, I 10, (4 5 1)
2θ 61.71, I 18, (0 5 3)
2θ 65.41, I 8, (0 10 0)

---

The following is a simulated X-ray powder pattern of Na5B8C2. It was derived from the GGA-PBE geometry in Alexandria, using Cu Kα X-rays.

Structural model:
Cell: 18.064 2.821 13.700 Å, 90.00 112.57 90.00°
Space group C2/m (No. 12)
Inequivalent atoms, fractional coordinates:
Na  0.000  0.000  0.000 [2 per cell]
Na  0.000  0.000  0.500 [2 per cell]
Na  0.100  0.500  0.197 [4 per cell]
Na  0.102  0.500  0.703 [4 per cell]
Na  0.200  0.000  0.399 [4 per cell]
Na  0.200  0.000  0.901 [4 per cell]
B  0.025  0.000  0.299 [4 per cell]
B  0.065  0.500  0.881 [4 per cell]
B  0.068  0.500  0.384 [4 per cell]
B  0.130  0.500  0.510 [4 per cell]
B  0.131  0.500  0.012 [4 per cell]
B  0.171  0.000  0.092 [4 per cell]
B  0.172  0.000  0.596 [4 per cell]
B  0.238  0.000  0.727 [4 per cell]
C  0.034  0.000  0.818 [4 per cell]
C  0.231  0.000  0.211 [4 per cell]

Most intense lines, 5° ≤ 2θ ≤ 70°, low angle first:
2θ 33.96, I 15, (2 0 4)
2θ 36.09, I 19, (1 1 2)
2θ 39.88, I 28, (2 0 -6)
2θ 40.13, I 27, (6 0 2)
2θ 41.79, I 100, (8 0 -4)
2θ 41.94, I 57, (5 1 0)
2θ 56.25, I 5, (7 1 -6)
2θ 56.44, I 5, (9 1 -2)
2θ 62.16, I 20, (3 1 6)
2θ 66.26, I 10, (0 2 0)

---

The following is a simulated X-ray powder pattern of Na8B15C. It was derived from the GGA-PBE geometry in Alexandria, using Cu Kα X-rays.

Structural model:
Cell: 6.0015 6.0015 8.6529 Å, 90.00 90.00 120.00°
Space group P-6m2 (No. 187)
Inequivalent atoms, fractional coordinates:
Na  0.0000  0.0000  0.2484 [2 per cell]
Na  0.0002  0.5001  0.2483 [6 per cell]
B  0.1669  0.3338  0.0000 [3 per cell]
B  0.1777  0.3555  0.5000 [3 per cell]
B  0.3253  0.1626  0.5000 [3 per cell]
B  0.3333  0.6667  0.0000 [1 per cell]
B  0.3336  0.1668  0.0000 [3 per cell]
B  0.6667  0.3333  0.0000 [1 per cell]
B  0.6667  0.3333  0.5000 [1 per cell]
C  0.3333  0.6667  0.5000 [1 per cell]

Most intense lines, 5° ≤ 2θ ≤ 70°, low angle first:
2θ 20.53, I 2, (0 0 2)
2θ 34.51, I 20, (2 0 0)
2θ 40.49, I 100, (2 0 2)
2θ 41.76, I 23, (0 0 4)
2θ 55.25, I 11, (2 0 4)
2θ 61.84, I 18, (2 2 0)
2θ 65.89, I 2, (2 2 2)

---

The following is a simulated X-ray powder pattern of Na10B13C7. It was derived from the GGA-PBE geometry in Alexandria, using Cu Kα X-rays.

Structural model:
Cell: 2.8736 2.8736 42.5704 Å, 90.00 90.00 120.00°
Space group P3m1 (No. 156)
Inequivalent atoms, fractional coordinates:
Na  0.0000  0.0000  0.0000 [1 per cell]
Na  0.0000  0.0000  0.0987 [1 per cell]
Na  0.0000  0.0000  0.1974 [1 per cell]
Na  0.0000  0.0000  0.2961 [1 per cell]
Na  0.0000  0.0000  0.3952 [1 per cell]
Na  0.0000  0.0000  0.4977 [1 per cell]
Na  0.0000  0.0000  0.6002 [1 per cell]
Na  0.0000  0.0000  0.6994 [1 per cell]
Na  0.0000  0.0000  0.7987 [1 per cell]
Na  0.0000  0.0000  0.9007 [1 per cell]
B  0.3333  0.6667  0.1481 [1 per cell]
B  0.3333  0.6667  0.3454 [1 per cell]
B  0.3333  0.6667  0.4462 [1 per cell]
B  0.3333  0.6667  0.5492 [1 per cell]
B  0.3333  0.6667  0.7488 [1 per cell]
B  0.3333  0.6667  0.8497 [1 per cell]
B  0.3333  0.6667  0.9507 [1 per cell]
B  0.6667  0.3333  0.0494 [1 per cell]
B  0.6667  0.3333  0.2467 [1 per cell]
B  0.6667  0.3333  0.4462 [1 per cell]
B  0.6667  0.3333  0.5492 [1 per cell]
B  0.6667  0.3333  0.6500 [1 per cell]
B  0.6667  0.3333  0.8497 [1 per cell]
C  0.3333  0.6667  0.0494 [1 per cell]
C  0.3333  0.6667  0.2467 [1 per cell]
C  0.3333  0.6667  0.6501 [1 per cell]
C  0.6667  0.3333  0.1481 [1 per cell]
C  0.6667  0.3333  0.3453 [1 per cell]
C  0.6667  0.3333  0.7487 [1 per cell]
C  0.6667  0.3333  0.9508 [1 per cell]

Most intense lines, 5° ≤ 2θ ≤ 70°, low angle first:
2θ 6.23, I 1, (0 0 3)
2θ 20.87, I 1, (0 0 10)
2θ 36.09, I 18, (1 0 0)
2θ 42.06, I 100, (1 0 10)
2θ 42.47, I 24, (0 0 20)
2θ 43.22, I 1, (1 0 11)
2θ 56.93, I 10, (0 1 20)
2θ 64.90, I 18, (1 1 0)
2θ 68.98, I 2, (1 1 10)